# Pm3SnPb
Simulated powder diffraction line list, CuKα. Input: the GGA-PBE geometry in Alexandria.

Cell lengths 4.7893, 7.2232, 9.6591 Å; angles 90.00, 90.00, 90.00 degrees
Space group Pmmn (No. 59, origin choice 2)
One atom of each set of equivalent atoms:
Pm 0.2500 0.0137 0.1815 x4
Pm 0.2500 0.2500 0.5752 x2
Sn 0.2500 0.2500 0.9034 x2
Pb 0.2500 0.7500 0.6364 x2

Principal peaks in the range 2θ from 10° to 80°, by angle:
| Position (°2θ) | I_rel |
| --- | --- |
| 26.21 | 51.9 |
| 26.35 | 22.6 |
| 30.92 | 15.3 |
| 32.40 | 100.0 |
| 33.54 | 30.8 |
| 35.83 | 15.5 |
| 37.42 | 17.6 |
| 37.56 | 32.3 |
| 42.06 | 13.9 |
| 64.60 | 26.8 |